# VF5
Computed X-ray diffraction stick pattern, λ = 1.5418 Å (Cu Kα). Input: a DFT-relaxed cell (PBE+U, Alexandria).
Kinematic intensities with the Lorentz-polarization factor, no thermal factor.

Largest 10 diffraction maxima, sorted by position, 5 to 70 degrees two-theta:
| 2theta | I (rel.) | h k l |
| --- | --- | --- |
| 17.09 | 100 | 1 1 -1 |
| 19.11 | 43 | 1 0 0 |
| 21.77 | 21 | 1 1 0 |
| 21.96 | 51 | 1 1 -2 |
| 24.86 | 49 | 0 2 1 |
| 29.25 | 25 | 0 1 2 |
| 42.23 | 29 | 0 4 0 |
| 43.74 | 25 | 3 0 -2 |
| 43.93 | 26 | 1 0 -4 |
| 62.58 | 17 | 1 4 -4 |

Crystal structure
Lattice parameters (Å, degrees): 6.522 8.560 9.186 90.00 134.59 90.00
Positions (direct):
V: 0.104 0.139 0.158
V: 0.104 0.361 0.658
V: 0.896 0.639 0.342
V: 0.896 0.861 0.842
F: 0.077 0.160 0.623
F: 0.077 0.340 0.123
F: 0.088 0.596 0.628
F: 0.088 0.904 0.128
F: 0.244 0.619 0.439
F: 0.244 0.881 0.939
F: 0.276 0.122 0.412
F: 0.276 0.378 0.912
F: 0.429 0.125 0.220
F: 0.429 0.375 0.720
F: 0.571 0.625 0.280
F: 0.571 0.875 0.780
F: 0.724 0.622 0.088
F: 0.724 0.878 0.588
F: 0.756 0.119 0.061
F: 0.756 0.381 0.561
F: 0.912 0.096 0.872
F: 0.912 0.404 0.372
F: 0.923 0.660 0.877
F: 0.923 0.840 0.377